1.
Structure and calculated X-ray powder pattern of Ce2VGe3Ir4 (a cell relaxed with PBE; λ = 1.5418 Å (Cu Kα)).

The 10 most intense peaks (2θ from 10° to 80°), by intensity:
| two_theta | I (rel.) |
| --- | --- |
| 34.88 | 100 |
| 43.24 | 69 |
| 33.55 | 58 |
| 46.47 | 37 |
| 31.43 | 32 |
| 48.86 | 30 |
| 55.81 | 27 |
| 62.81 | 23 |
| 67.27 | 23 |
| 73.90 | 22 |

Structure:
Lattice parameters (Å, degrees): 4.185 4.185 10.410 90.00 90.00 90.00
Fractional positions:
1 Ce 0.000 0.500 0.247
2 Ce 0.500 0.000 0.753
3 V 0.500 0.500 0.000
4 Ge 0.000 0.000 0.000
5 Ge 0.000 0.500 0.632
6 Ge 0.500 0.000 0.368
7 Ir 0.000 0.000 0.500
8 Ir 0.000 0.500 0.868
9 Ir 0.500 0.000 0.132
10 Ir 0.500 0.500 0.500

---

2.
Structure and calculated X-ray powder pattern of K2CeGe2O6 (a cell relaxed with PBE; λ = 1.5418 Å (Cu Kα)).

The 10 most intense peaks (2θ from 10° to 80°), by intensity:
| two_theta | I (rel.) |
| --- | --- |
| 29.88 | 100 |
| 29.70 | 97 |
| 19.38 | 75 |
| 20.32 | 60 |
| 29.41 | 55 |
| 26.46 | 44 |
| 39.38 | 36 |
| 56.52 | 23 |
| 52.46 | 22 |
| 43.30 | 21 |

Structure:
Lattice parameters (Å, degrees): 5.988 5.988 7.094 117.27 117.27 60.95
Fractional positions:
1 K 0.210 0.210 0.187
2 K 0.790 0.790 0.813
3 Ce 0.000 0.000 0.500
4 Ge 0.456 0.456 0.802
5 Ge 0.544 0.544 0.198
6 O 0.226 0.708 0.248
7 O 0.252 0.252 0.632
8 O 0.292 0.774 0.752
9 O 0.708 0.226 0.248
10 O 0.748 0.748 0.368
11 O 0.774 0.292 0.752

---

3.
Structure and calculated X-ray powder pattern of La3Ce2Ge4 (a cell relaxed with PBE; λ = 1.5418 Å (Cu Kα)).

The 10 most intense peaks (2θ from 10° to 80°), by intensity:
| two_theta | I (rel.) |
| --- | --- |
| 31.22 | 100 |
| 32.64 | 81 |
| 32.37 | 76 |
| 35.45 | 62 |
| 31.53 | 59 |
| 35.40 | 44 |
| 29.67 | 38 |
| 35.55 | 36 |
| 34.52 | 35 |
| 28.72 | 34 |

Structure:
Lattice parameters (Å, degrees): 8.195 8.094 8.012 90.00 112.43 90.00
Fractional positions:
1 La 0.000 0.000 0.000
2 La 0.000 0.500 0.500
3 La 0.302 0.181 0.434
4 La 0.302 0.319 0.934
5 La 0.698 0.681 0.066
6 La 0.698 0.819 0.566
7 Ce 0.267 0.664 0.283
8 Ce 0.267 0.836 0.783
9 Ce 0.733 0.164 0.217
10 Ce 0.733 0.336 0.717
11 Ge 0.000 0.121 0.618
12 Ge 0.000 0.379 0.118
13 Ge 0.000 0.621 0.882
14 Ge 0.000 0.879 0.382
15 Ge 0.417 0.541 0.677
16 Ge 0.417 0.959 0.177
17 Ge 0.583 0.041 0.823
18 Ge 0.583 0.459 0.323

---

4.
Structure and calculated X-ray powder pattern of La2CeGe3 (a cell relaxed with PBE; λ = 1.5418 Å (Cu Kα)).

The 10 most intense peaks (2θ from 10° to 80°), by intensity:
| two_theta | I (rel.) |
| --- | --- |
| 28.98 | 100 |
| 41.46 | 62 |
| 68.04 | 22 |
| 25.03 | 17 |
| 51.27 | 14 |
| 41.33 | 13 |
| 75.47 | 13 |
| 51.45 | 13 |
| 60.05 | 12 |
| 75.71 | 11 |

Structure:
Lattice parameters (Å, degrees): 7.536 7.536 7.536 146.30 131.74 60.15
Fractional positions:
1 La 0.171 0.171 0.000
2 La 0.829 0.829 0.000
3 Ce 0.500 0.500 0.000
4 Ge 0.000 0.500 0.500
5 Ge 0.346 0.846 0.500
6 Ge 0.654 0.154 0.500

---

5.
Structure and calculated X-ray powder pattern of LaCe2Ge4 (a cell relaxed with PBE; λ = 1.5418 Å (Cu Kα)).

The 10 most intense peaks (2θ from 10° to 80°), by intensity:
| two_theta | I (rel.) |
| --- | --- |
| 31.08 | 100 |
| 40.44 | 49 |
| 31.34 | 38 |
| 41.74 | 27 |
| 43.95 | 22 |
| 35.40 | 22 |
| 58.50 | 21 |
| 28.85 | 20 |
| 61.24 | 16 |
| 25.98 | 16 |

Structure:
Lattice parameters (Å, degrees): 9.769 9.769 9.769 155.65 153.60 36.22
Fractional positions:
1 La 0.000 0.000 0.000
2 Ce 0.181 0.681 0.500
3 Ce 0.819 0.319 0.500
4 Ge 0.344 0.844 0.500
5 Ge 0.432 0.432 0.000
6 Ge 0.568 0.568 0.000
7 Ge 0.656 0.156 0.500

---

6.
Structure and calculated X-ray powder pattern of LaCe2GeN4 (a cell relaxed with PBE; λ = 1.5418 Å (Cu Kα)).

The 10 most intense peaks (2θ from 10° to 80°), by intensity:
| two_theta | I (rel.) |
| --- | --- |
| 29.79 | 100 |
| 37.00 | 67 |
| 27.10 | 51 |
| 30.51 | 44 |
| 34.54 | 38 |
| 29.96 | 34 |
| 51.45 | 24 |
| 46.17 | 22 |
| 50.23 | 21 |
| 51.80 | 19 |

Structure:
Lattice parameters (Å, degrees): 6.134 6.134 11.930 90.00 90.00 145.55
Fractional positions:
1 La 0.098 0.902 0.750
2 La 0.902 0.098 0.250
3 Ce 0.369 0.631 0.545
4 Ce 0.369 0.631 0.955
5 Ce 0.631 0.369 0.045
6 Ce 0.631 0.369 0.455
7 Ge 0.167 0.833 0.250
8 Ge 0.833 0.167 0.750
9 N 0.000 0.000 0.000
10 N 0.000 0.000 0.500
11 N 0.276 0.724 0.131
12 N 0.276 0.724 0.369
13 N 0.417 0.583 0.750
14 N 0.583 0.417 0.250
15 N 0.724 0.276 0.631
16 N 0.724 0.276 0.869

---

7.
Structure and calculated X-ray powder pattern of LaCeGe2O8 (a cell relaxed with PBE; λ = 1.5418 Å (Cu Kα)).

The 10 most intense peaks (2θ from 10° to 80°), by intensity:
| two_theta | I (rel.) |
| --- | --- |
| 28.76 | 100 |
| 46.95 | 29 |
| 58.33 | 28 |
| 34.50 | 19 |
| 53.60 | 17 |
| 30.86 | 15 |
| 49.58 | 13 |
| 76.01 | 12 |
| 59.55 | 12 |
| 18.70 | 9 |

Structure:
Lattice parameters (Å, degrees): 6.863 6.863 6.863 135.47 135.47 64.80
Fractional positions:
1 La 0.000 0.000 0.000
2 Ce 0.750 0.250 0.500
3 Ge 0.250 0.750 0.500
4 Ge 0.500 0.500 0.000
5 O 0.016 0.928 0.596
6 O 0.072 0.668 0.088
7 O 0.164 0.276 0.607
8 O 0.332 0.420 0.404
9 O 0.443 0.836 0.112
10 O 0.580 0.984 0.912
11 O 0.669 0.557 0.393
12 O 0.724 0.331 0.888

---

8.
Structure and calculated X-ray powder pattern of La4Ce2Ge3O2 (a cell relaxed with PBE; λ = 1.5418 Å (Cu Kα)).

The 10 most intense peaks (2θ from 10° to 80°), by intensity:
| two_theta | I (rel.) |
| --- | --- |
| 34.12 | 100 |
| 27.20 | 73 |
| 37.42 | 68 |
| 65.39 | 37 |
| 29.97 | 24 |
| 53.96 | 23 |
| 21.40 | 22 |
| 31.32 | 19 |
| 28.73 | 19 |
| 47.85 | 19 |

Structure:
Lattice parameters (Å, degrees): 12.886 12.886 12.886 158.50 158.50 30.58
Fractional positions:
1 La 0.081 0.581 0.500
2 La 0.419 0.919 0.500
3 La 0.581 0.081 0.500
4 La 0.919 0.419 0.500
5 Ce 0.201 0.201 0.000
6 Ce 0.799 0.799 0.000
7 Ge 0.324 0.324 0.000
8 Ge 0.500 0.500 0.000
9 Ge 0.676 0.676 0.000
10 O 0.107 0.107 0.000
11 O 0.893 0.893 0.000

---

9.
Structure and calculated X-ray powder pattern of LaCe2Zn2Ge2 (a cell relaxed with PBE; λ = 1.5418 Å (Cu Kα)).

The 10 most intense peaks (2θ from 10° to 80°), by intensity:
| two_theta | I (rel.) |
| --- | --- |
| 32.36 | 100 |
| 41.64 | 71 |
| 34.62 | 38 |
| 53.70 | 23 |
| 70.16 | 21 |
| 65.12 | 20 |
| 23.89 | 19 |
| 75.99 | 12 |
| 55.23 | 10 |
| 28.42 | 10 |

Structure:
Lattice parameters (Å, degrees): 9.863 9.863 9.863 25.41 25.41 25.41
Fractional positions:
1 La 0.000 0.000 0.000
2 Ce 0.143 0.143 0.143
3 Ce 0.857 0.857 0.857
4 Zn 0.411 0.411 0.411
5 Zn 0.589 0.589 0.589
6 Ge 0.262 0.262 0.262
7 Ge 0.738 0.738 0.738

---

10.
Structure and calculated X-ray powder pattern of LiCe4Ge8 (a cell relaxed with PBE; λ = 1.5418 Å (Cu Kα)).

The 10 most intense peaks (2θ from 10° to 80°), by intensity:
| two_theta | I (rel.) |
| --- | --- |
| 34.84 | 100 |
| 43.32 | 17 |
| 34.22 | 16 |
| 39.15 | 16 |
| 24.51 | 16 |
| 26.61 | 15 |
| 45.03 | 15 |
| 31.91 | 15 |
| 73.99 | 11 |
| 64.26 | 11 |

Structure:
Lattice parameters (Å, degrees): 4.027 4.177 16.825 90.00 90.00 90.00
Fractional positions:
1 Li 0.000 0.000 0.000
2 Ce 0.000 0.000 0.780
3 Ce 0.000 0.500 0.291
4 Ce 0.500 0.000 0.571
5 Ce 0.500 0.500 0.078
6 Ge 0.000 0.000 0.144
7 Ge 0.000 0.000 0.430
8 Ge 0.000 0.500 0.626
9 Ge 0.000 0.500 0.919
10 Ge 0.500 0.000 0.238
11 Ge 0.500 0.000 0.917
12 Ge 0.500 0.500 0.433
13 Ge 0.500 0.500 0.723

---

11.
Structure and calculated X-ray powder pattern of Li2Ce2Ge3 (a cell relaxed with PBE; λ = 1.5418 Å (Cu Kα)).

The 10 most intense peaks (2θ from 10° to 80°), by intensity:
| two_theta | I (rel.) |
| --- | --- |
| 33.99 | 100 |
| 33.31 | 77 |
| 40.60 | 30 |
| 25.93 | 21 |
| 31.61 | 20 |
| 44.05 | 19 |
| 24.63 | 16 |
| 48.84 | 15 |
| 49.43 | 14 |
| 61.45 | 14 |

Structure:
Lattice parameters (Å, degrees): 9.580 9.580 6.873 90.00 90.00 153.18
Fractional positions:
1 Li 0.191 0.809 0.562
2 Li 0.191 0.809 0.938
3 Li 0.809 0.191 0.062
4 Li 0.809 0.191 0.438
5 Ce 0.343 0.657 0.750
6 Ce 0.450 0.550 0.250
7 Ce 0.550 0.450 0.750
8 Ce 0.657 0.343 0.250
9 Ge 0.063 0.937 0.064
10 Ge 0.063 0.937 0.436
11 Ge 0.279 0.721 0.250
12 Ge 0.721 0.279 0.750
13 Ge 0.937 0.063 0.564
14 Ge 0.937 0.063 0.936

---

12.
Structure and calculated X-ray powder pattern of LiCeGe2 (a cell relaxed with PBE; λ = 1.5418 Å (Cu Kα)).

The 10 most intense peaks (2θ from 10° to 80°), by intensity:
| two_theta | I (rel.) |
| --- | --- |
| 32.10 | 100 |
| 35.90 | 83 |
| 14.07 | 57 |
| 33.95 | 53 |
| 27.71 | 38 |
| 45.65 | 32 |
| 22.73 | 32 |
| 64.61 | 30 |
| 42.32 | 27 |
| 43.12 | 26 |

Structure:
Lattice parameters (Å, degrees): 7.823 3.975 10.596 90.00 90.00 90.00
Fractional positions:
1 Li 0.014 0.250 0.105
2 Li 0.486 0.750 0.605
3 Li 0.514 0.250 0.395
4 Li 0.986 0.750 0.895
5 Ce 0.136 0.750 0.365
6 Ce 0.364 0.250 0.865
7 Ce 0.636 0.750 0.135
8 Ce 0.864 0.250 0.635
9 Ge 0.157 0.750 0.690
10 Ge 0.231 0.750 0.065
11 Ge 0.269 0.250 0.565
12 Ge 0.343 0.250 0.190
13 Ge 0.657 0.750 0.810
14 Ge 0.731 0.750 0.435
15 Ge 0.769 0.250 0.935
16 Ge 0.843 0.250 0.310

---

13.
Structure and calculated X-ray powder pattern of LiCe3Ge5 (a cell relaxed with PBE; λ = 1.5418 Å (Cu Kα)).

The 10 most intense peaks (2θ from 10° to 80°), by intensity:
| two_theta | I (rel.) |
| --- | --- |
| 35.95 | 100 |
| 36.57 | 94 |
| 35.06 | 67 |
| 29.93 | 31 |
| 25.42 | 30 |
| 46.25 | 29 |
| 47.46 | 24 |
| 73.97 | 24 |
| 11.81 | 23 |
| 52.22 | 23 |

Structure:
Lattice parameters (Å, degrees): 8.654 8.654 5.971 90.00 90.00 120.00
Fractional positions:
1 Li 0.000 0.000 0.000
2 Li 0.000 0.000 0.500
3 Ce 0.000 0.377 0.250
4 Ce 0.000 0.623 0.750
5 Ce 0.377 0.000 0.250
6 Ce 0.377 0.377 0.750
7 Ce 0.623 0.000 0.750
8 Ce 0.623 0.623 0.250
9 Ge 0.000 0.280 0.750
10 Ge 0.000 0.720 0.250
11 Ge 0.280 0.000 0.750
12 Ge 0.280 0.280 0.250
13 Ge 0.333 0.667 0.000
14 Ge 0.333 0.667 0.500
15 Ge 0.667 0.333 0.000
16 Ge 0.667 0.333 0.500
17 Ge 0.720 0.000 0.250
18 Ge 0.720 0.720 0.750